Calculated X-ray diffraction stick pattern of Np3P4Pd7 for Cu Kα X-rays, from the GGA-PBE geometry in Alexandria.
Intensities are scaled so that the largest is 1000.

Atomic structure:
a = 15.3365 Å, b = 3.9488 Å, c = 9.5728 Å
α = 90.00°, β = 124.91°, γ = 90.00°
Space group C2/m (No. 12)
One atom of each set of equivalent atoms:
Np: 0.0000 0.0000 0.0000 x2
Np: 0.1866 0.5000 0.6851 x4
P: 0.1053 0.0000 0.8181 x4
P: 0.1537 0.5000 0.2389 x4
Pd: 0.0000 0.0000 0.5000 x2
Pd: 0.0129 0.5000 0.2942 x4
Pd: 0.1677 0.0000 0.4283 x4
Pd: 0.1875 0.5000 0.0147 x4

The 12 most intense peaks (2θ from 10° to 80°), most intense first:
d (Å)  I/Imax  (hkl)
2.415  1000  5 1 -2
2.511  929  1 1 2
1.974  430  0 2 0
2.479  393  3 1 -3
2.388  359  4 0 -4
3.649  348  1 1 -1
2.874  334  3 1 0
2.096  323  6 0 0
2.617  254  0 0 3
1.521  245  4 2 -4
2.268  238  5 1 -3
2.462  219  6 0 -3